Starting from a crystal structure in Alexandria, relaxed with GGA-PBE, the X-ray powder pattern of Pu5Ir2Pd4 was computed for λ = 1.5418 Å (Cu Kα).

Cell and atoms:
Cell: 7.4597 17.2642 3.5460 Å, 90.00 90.00 90.00°
Space group Pbam (No. 55)
Symmetry-distinct sites (fractional):
Pu: 0.0000 0.0000 0.0000
Pu: 0.1126 0.4281 0.0000
Pu: 0.2249 0.2144 0.0000
Ir: 0.0208 0.3030 0.5000
Pd: 0.0991 0.8557 0.5000
Pd: 0.2307 0.5698 0.5000

Most intense lines, 5° ≤ 2θ ≤ 70°, sorted by position:
2θ (°)  I (rel.)  hkl
32.7  16  0 4 1
34.9  88  1 4 1
35.3  16  2 1 1
36.5  100  2 2 1
37.6  31  3 2 0
38.3  75  1 5 1
38.4  33  1 7 0
39.5  32  3 3 0
44.9  16  3 5 0
51.5  30  0 0 2
61.0  15  1 10 1
66.8  14  3 3 2



Starting from a crystal structure in Alexandria, relaxed with GGA-PBE, the X-ray powder pattern of Cd3In4Hg8 was computed for λ = 1.5418 Å (Cu Kα).

Cell and atoms:
Cell: 4.3765 4.3765 20.9591 Å, 90.00 90.00 90.00°
Space group P-4m2 (No. 115)
Symmetry-distinct sites (fractional):
Cd: 0.0000 0.0000 0.0000
Cd: 0.0000 0.0000 0.5000
Cd: 0.5000 0.5000 0.0000
In: 0.0000 0.5000 0.1331
In: 0.0000 0.5000 0.6214
Hg: 0.0000 0.0000 0.2559
Hg: 0.0000 0.5000 0.4008
Hg: 0.0000 0.5000 0.8836
Hg: 0.5000 0.5000 0.2598

Most intense lines, 5° ≤ 2θ ≤ 70°, sorted by position:
2θ (°)  I (rel.)  hkl
8.4  8  0 0 2
22.0  6  1 0 2
25.5  7  0 0 6
26.5  5  1 0 4
30.1  9  1 1 2
33.6  100  1 1 4
34.2  18  0 0 8
41.3  31  2 0 0
54.6  19  2 0 8
56.7  7  1 1 11
59.8  11  2 2 0
60.9  9  1 1 12



Starting from a crystal structure in Alexandria, relaxed with GGA-PBE, the X-ray powder pattern of MgCo22B6 was computed for λ = 1.5418 Å (Cu Kα).

Cell and atoms:
Cell: 10.4499 10.4499 10.4499 Å, 90.00 90.00 90.00°
Space group Fm-3m (No. 225)
Symmetry-distinct sites (fractional):
Mg: 0.0000 0.0000 0.0000
Co: 0.0000 0.1718 0.1718
Co: 0.1194 0.1194 0.3806
Co: 0.2500 0.2500 0.2500
B: 0.0000 0.0000 0.2746

Most intense lines, 5° ≤ 2θ ≤ 70°, sorted by position:
2θ (°)  I (rel.)  hkl
17.0  3  2 0 0
24.1  2  2 2 0
29.6  2  2 2 2
34.3  7  4 0 0
37.5  3  3 3 1
38.5  31  4 2 0
42.4  26  4 2 2
45.1  100  3 3 3
49.3  22  4 4 0
51.8  37  5 3 1
52.5  11  6 0 0
58.6  10  6 2 2



Starting from a crystal structure in Alexandria, relaxed with GGA-PBE, the X-ray powder pattern of Eu2YSbO6 was computed for λ = 1.5418 Å (Cu Kα).

Cell and atoms:
Cell: 8.3883 8.3883 8.3883 Å, 90.00 90.00 90.00°
Space group Fm-3m (No. 225)
Symmetry-distinct sites (fractional):
Eu: 0.2500 0.2500 0.2500
Y: 0.0000 0.0000 0.0000
Sb: 0.0000 0.0000 0.5000
O: 0.0000 0.0000 0.2628

Most intense lines, 5° ≤ 2θ ≤ 70°, sorted by position:
2θ (°)  I (rel.)  hkl
18.3  1  1 1 1
21.2  1  2 0 0
30.1  100  2 2 0
37.1  6  2 2 2
43.1  30  4 0 0
48.5  1  4 2 0
53.5  40  4 2 2
62.6  18  4 4 0
66.9  1  4 4 2



Starting from a crystal structure in Alexandria, relaxed with GGA-PBE, the X-ray powder pattern of Nd3Ge5Ir6 was computed for λ = 1.5418 Å (Cu Kα).

Cell and atoms:
Cell: 4.1481 12.7183 10.0154 Å, 90.00 90.00 90.00°
Space group Pmmn (No. 59, origin choice 2)
Symmetry-distinct sites (fractional):
Nd: 0.2500 0.0892 0.2467
Nd: 0.2500 0.7500 0.2454
Ge: 0.2500 0.0779 0.6484
Ge: 0.2500 0.6294 0.9842
Ge: 0.2500 0.7500 0.6209
Ir: 0.2500 0.0501 0.8972
Ir: 0.2500 0.2500 0.0017
Ir: 0.2500 0.2500 0.5176
Ir: 0.2500 0.5811 0.4918

Most intense lines, 5° ≤ 2θ ≤ 70°, sorted by position:
2θ (°)  I (rel.)  hkl
17.7  24  0 0 2
31.3  11  1 2 2
31.5  13  1 3 1
34.2  23  0 3 3
34.5  30  1 0 3
35.2  100  1 3 2
42.7  37  0 6 0
43.6  38  2 0 0
47.5  25  1 3 4
56.6  11  2 3 3
62.7  14  2 6 0
64.0  21  1 3 6



Starting from a crystal structure in Alexandria, relaxed with GGA-PBE, the X-ray powder pattern of TbDy3Fe4Co4 was computed for λ = 1.5418 Å (Cu Kα).

Cell and atoms:
Cell: 8.7184 5.2563 8.7339 Å, 90.00 108.61 90.00°
Space group Cm (No. 8)
Symmetry-distinct sites (fractional):
Tb: 0.0000 0.0000 0.0000
Dy: 0.0001 0.5000 0.4999
Dy: 0.1259 0.0000 0.3745
Dy: 0.1258 0.5000 0.8742
Fe: 0.0630 0.0000 0.6868
Fe: 0.0632 0.5000 0.1876
Fe: 0.3130 0.0000 0.9371
Fe: 0.3130 0.5000 0.4372
Co: 0.3132 0.2499 0.1876
Co: 0.3128 0.2498 0.6867

Most intense lines, 5° ≤ 2θ ≤ 70°, sorted by position:
2θ (°)  I (rel.)  hkl
21.0  16  1 1 -1
34.1  21  0 2 0
35.3  100  2 0 2
40.7  64  0 2 2
41.4  59  3 1 1
41.9  28  3 1 -3
42.2  29  4 0 -2
42.8  13  2 2 -2
61.8  16  3 3 -1
63.3  22  4 2 -4
66.1  14  3 3 1
66.9  14  2 2 4



Starting from a crystal structure in Alexandria, relaxed with GGA-PBE, the X-ray powder pattern of Li2Ag3Pd3 was computed for λ = 1.5418 Å (Cu Kα).

Cell and atoms:
Cell: 4.0091 4.0136 7.8713 Å, 90.00 90.00 90.00°
Space group Pmmm (No. 47)
Symmetry-distinct sites (fractional):
Li: 0.0000 0.0000 0.2380
Ag: 0.0000 0.5000 0.0000
Ag: 0.0000 0.5000 0.5000
Ag: 0.5000 0.0000 0.5000
Pd: 0.5000 0.0000 0.0000
Pd: 0.5000 0.5000 0.2488

Most intense lines, 5° ≤ 2θ ≤ 70°, sorted by position:
2θ (°)  I (rel.)  hkl
22.2  21  0 1 0
22.6  11  0 0 2
31.5  10  1 1 0
31.9  17  1 0 2
39.1  100  1 1 2
45.2  33  2 0 0
46.1  15  0 0 4
50.9  4  2 1 0
51.1  5  2 0 2
56.4  6  1 2 2
65.9  10  2 2 0
66.6  20  2 0 4



Starting from a crystal structure in Alexandria, relaxed with GGA-PBE, the X-ray powder pattern of LaCrP2 was computed for λ = 1.5418 Å (Cu Kα).

Cell and atoms:
Cell: 4.0015 5.8686 6.9804 Å, 90.00 90.00 90.00°
Space group Immm (No. 71)
Symmetry-distinct sites (fractional):
La: 0.0000 0.0000 0.0000
Cr: 0.0000 0.0000 0.5000
P: 0.0000 0.5000 0.1930

Most intense lines, 5° ≤ 2θ ≤ 70°, sorted by position:
2θ (°)  I (rel.)  hkl
19.8  15  0 1 1
25.5  25  0 0 2
25.7  26  1 0 1
27.0  35  1 1 0
30.5  51  0 2 0
37.5  100  1 1 2
40.2  32  0 2 2
45.3  16  2 0 0
55.6  17  2 2 0
58.8  25  1 3 2
59.9  14  1 1 4
63.4  13  0 4 0



Starting from a crystal structure in Alexandria, relaxed with GGA-PBE, the X-ray powder pattern of TbPm8Mg2 was computed for λ = 1.5418 Å (Cu Kα).

Cell and atoms:
Cell: 8.9454 15.8480 5.8151 Å, 90.00 117.67 90.00°
Space group C2/m (No. 12)
Symmetry-distinct sites (fractional):
Tb: 0.0000 0.0000 0.0000
Pm: 0.0000 0.2103 0.0000
Pm: 0.0895 0.5000 0.7940
Pm: 0.2108 0.1135 0.6401
Mg: 0.0000 0.3069 0.5000

Most intense lines, 5° ≤ 2θ ≤ 70°, sorted by position:
2θ (°)  I (rel.)  hkl
11.2  30  0 2 0
20.2  30  1 3 0
28.4  70  0 4 1
29.9  27  1 3 1
30.6  100  3 1 -1
31.7  78  1 1 -2
31.9  83  2 4 0
32.3  99  1 5 -1
34.4  58  2 0 1
51.0  27  1 5 2
58.5  27  5 1 0
61.1  25  3 9 -1



Starting from a crystal structure in Alexandria, relaxed with GGA-PBE, the X-ray powder pattern of K6Rb6Na was computed for λ = 1.5418 Å (Cu Kα).

Cell and atoms:
Cell: 8.7404 8.7404 16.1322 Å, 90.00 90.00 120.00°
Space group P6/mmm (No. 191)
Symmetry-distinct sites (fractional):
K: 0.0000 0.5000 0.2404
Rb: 0.0000 0.0000 0.3534
Rb: 0.3333 0.6667 0.0000
Rb: 0.3333 0.6667 0.5000
Na: 0.0000 0.0000 0.0000

Most intense lines, 5° ≤ 2θ ≤ 70°, sorted by position:
2θ (°)  I (rel.)  hkl
20.3  100  1 1 0
22.0  21  0 0 4
23.1  83  1 1 2
25.0  59  1 0 4
26.0  74  2 0 2
35.6  30  3 0 0
37.3  23  3 0 2
38.6  36  2 1 4
39.3  40  1 1 6
41.3  32  2 2 0
49.5  31  3 0 6
66.4  25  4 1 6



Starting from a crystal structure in Alexandria, relaxed with GGA-PBE, the X-ray powder pattern of RbU3Tl2S8 was computed for λ = 1.5418 Å (Cu Kα).

Cell and atoms:
Cell: 8.1523 8.1523 23.4473 Å, 90.00 90.00 120.00°
Space group R3m (No. 160, hexagonal axes)
Symmetry-distinct sites (fractional):
Rb: 0.0000 0.0000 0.0000
U: 0.0003 0.5002 0.1371
Tl: 0.0000 0.0000 0.2605
Tl: 0.0000 0.0000 0.6420
S: 0.0000 0.0000 0.4111
S: 0.0000 0.0000 0.8630
S: 0.0355 0.5177 0.4104
S: 0.1826 0.3653 0.1983

Most intense lines, 5° ≤ 2θ ≤ 70°, sorted by position:
2θ (°)  I (rel.)  hkl
11.3  38  0 0 3
13.1  37  1 0 1
22.8  78  0 0 6
24.6  100  1 1 3
25.5  47  0 2 1
26.4  40  2 0 2
29.5  58  0 2 4
37.0  45  0 2 7
40.0  84  2 0 8
44.4  62  2 2 0
50.5  35  2 2 6
61.3  43  0 4 8



Starting from a crystal structure in Alexandria, relaxed with GGA-PBE, the X-ray powder pattern of Sm3PbSe6 was computed for λ = 1.5418 Å (Cu Kα).

Cell and atoms:
Cell: 11.3612 14.3176 7.1770 Å, 90.00 90.00 90.00°
Space group Cmc2_1 (No. 36)
Symmetry-distinct sites (fractional):
Sm: 0.0000 0.0932 0.0000
Sm: 0.1864 0.4027 0.9056
Pb: 0.0000 0.3022 0.3789
Se: 0.0000 0.2759 0.7808
Se: 0.0000 0.4780 0.1840
Se: 0.1626 0.0335 0.7053
Se: 0.1809 0.2267 0.1583

Most intense lines, 5° ≤ 2θ ≤ 70°, sorted by position:
2θ (°)  I (rel.)  hkl
23.5  100  2 2 1
23.7  54  1 3 1
27.3  25  3 1 1
32.0  42  2 2 2
32.2  27  1 5 0
32.7  40  3 3 1
35.0  56  3 1 2
35.4  33  0 4 2
39.4  71  3 5 0
45.3  21  3 1 3
45.6  25  0 4 3
48.1  25  6 0 0